1.
This entry pairs a crystal structure of V3SiIr with its computed X-ray diffraction stick pattern. Radiation: Cu Kα, 1.54184 Å. Structure: the GGA-PBE geometry in Alexandria.
Neutral-atom scattering factors, no anomalous dispersion.

Cell and atoms:
```
data_V3SiIr
_space_group_name_H-M_alt 'C 1 2/m 1'
_space_group_IT_number 12
_cell_length_a 11.638
_cell_length_b 4.441
_cell_length_c 6.487
_cell_angle_alpha 90.00
_cell_angle_beta 122.61
_cell_angle_gamma 90.00
loop_
_space_group_symop_operation_xyz
'x,y,z'
'-x,-y,-z'
'-x,y,-z'
'x,-y,z'
'x+1/2,y+1/2,z'
'-x+1/2,-y+1/2,-z'
'-x+1/2,y+1/2,-z'
'x+1/2,-y+1/2,z'
loop_
_atom_site_label
_atom_site_fract_x
_atom_site_fract_y
_atom_site_fract_z
_atom_site_occupancy
V1 0.042 0.000 0.220 1
V2 0.086 0.500 0.947 1
V3 0.151 0.000 0.664 1
Si1 0.215 0.000 0.098 1
Ir1 0.163 0.500 0.453 1
```

Most intense lines, 2θ from 10° to 90°, sorted by position:
index	2theta	intensity
0 0 1	16.22	68
2 0 -1	16.55	68
3 1 -2	35.64	47
0 2 0	40.63	63
1 1 2	43.93	100
5 1 -1	44.74	74

---

2.
This entry pairs a crystal structure of Y2VSi3Ir4 with its computed X-ray diffraction stick pattern. Radiation: Cu Kα, 1.54184 Å. Structure: the GGA-PBE geometry in Alexandria.
Neutral-atom scattering factors, no anomalous dispersion.

Cell and atoms:
```
data_Y2VSi3Ir4
_space_group_name_H-M_alt 'P -4 m 2'
_space_group_IT_number 115
_cell_length_a 4.095
_cell_length_b 4.095
_cell_length_c 10.149
_cell_angle_alpha 90.00
_cell_angle_beta 90.00
_cell_angle_gamma 90.00
loop_
_space_group_symop_operation_xyz
'x,y,z'
'y,-x,-z'
'-x,-y,z'
'-y,x,-z'
'-x,y,z'
'-y,-x,-z'
'x,-y,z'
'y,x,-z'
loop_
_atom_site_label
_atom_site_fract_x
_atom_site_fract_y
_atom_site_fract_z
_atom_site_occupancy
Y1 0.000 0.500 0.248 1
V1 0.000 0.000 0.500 1
Si1 0.000 0.500 0.871 1
Si2 0.500 0.500 0.500 1
Ir1 0.000 0.000 0.000 1
Ir2 0.000 0.500 0.636 1
Ir3 0.500 0.500 0.000 1
```

Most intense lines, 2θ from 10° to 90°, sorted by position:
index	2theta	intensity
1 0 2	28.00	40
1 1 1	32.15	70
1 0 3	34.39	42
1 1 2	35.70	100
2 0 0	44.24	66
1 1 4	47.66	45

---

3.
This entry pairs a crystal structure of Y3Si5Ir6 with its computed X-ray diffraction stick pattern. Radiation: Cu Kα, 1.54184 Å. Structure: the GGA-PBE geometry in Alexandria.
Neutral-atom scattering factors, no anomalous dispersion.

Cell and atoms:
```
data_Y3Si5Ir6
_space_group_name_H-M_alt 'P m m n'
_space_group_IT_number 59
_cell_length_a 4.017
_cell_length_b 12.382
_cell_length_c 9.654
_cell_angle_alpha 90.00
_cell_angle_beta 90.00
_cell_angle_gamma 90.00
loop_
_space_group_symop_operation_xyz
'x,y,z'
'-x,-y,-z'
'-x+1/2,-y+1/2,z'
'x+1/2,y+1/2,-z'
'x+1/2,-y,-z'
'-x+1/2,y,z'
'-x,y+1/2,-z'
'x,-y+1/2,z'
loop_
_atom_site_label
_atom_site_fract_x
_atom_site_fract_y
_atom_site_fract_z
_atom_site_occupancy
Y1 0.250 0.091 0.249 1
Y2 0.250 0.750 0.243 1
Si1 0.250 0.077 0.650 1
Si2 0.250 0.631 0.982 1
Si3 0.250 0.750 0.614 1
Ir1 0.250 0.049 0.898 1
Ir2 0.250 0.250 0.010 1
Ir3 0.250 0.250 0.521 1
Ir4 0.250 0.581 0.490 1
```

Most intense lines, 2θ from 10° to 90°, sorted by position:
index	2theta	intensity
0 0 2	18.38	54
1 3 1	32.44	62
1 3 2	36.34	100
0 6 0	43.91	41
2 0 0	45.14	34
1 3 4	49.27	29

---

4.
This entry pairs a crystal structure of Y4Si5Ir9 with its computed X-ray diffraction stick pattern. Radiation: Cu Kα, 1.54184 Å. Structure: the GGA-PBE geometry in Alexandria.
Neutral-atom scattering factors, no anomalous dispersion.

Cell and atoms:
```
data_Y4Si5Ir9
_space_group_name_H-M_alt 'P 63/m m c'
_space_group_IT_number 194
_space_group_name_Hall '-P 6c 2c'
_cell_length_a 5.5501
_cell_length_b 5.5501
_cell_length_c 22.6980
_cell_angle_alpha 90.00
_cell_angle_beta 90.00
_cell_angle_gamma 120.00
loop_
_atom_site_label
_atom_site_fract_x
_atom_site_fract_y
_atom_site_fract_z
_atom_site_occupancy
Y1 0.3333 0.6667 0.0274 1
Y2 0.3333 0.6667 0.1739 1
Si1 0.0000 0.0000 0.0000 1
Si2 0.0000 0.0000 0.1674 1
Si3 0.3333 0.6667 0.6679 1
Ir1 0.1667 0.3334 0.7500 1
Ir2 0.1673 0.3347 0.5874 1
```

Most intense lines, 2θ from 10° to 90°, sorted by position:
index	2theta	intensity
0 0 6	23.52	70
1 0 7	33.33	44
2 0 0	37.42	38
2 0 1	37.64	100
1 1 6	40.31	66
2 0 5	42.56	47

---

5.
This entry pairs a crystal structure of Y2Si3Ir3 with its computed X-ray diffraction stick pattern. Radiation: Cu Kα, 1.54184 Å. Structure: the GGA-PBE geometry in Alexandria.
Neutral-atom scattering factors, no anomalous dispersion.

Cell and atoms:
```
data_Y2Si3Ir3
_space_group_name_H-M_alt 'P 4/m m m'
_space_group_IT_number 123
_space_group_name_Hall '-P 4 2'
_cell_length_a 2.813
_cell_length_b 2.813
_cell_length_c 20.155
_cell_angle_alpha 90.00
_cell_angle_beta 90.00
_cell_angle_gamma 90.00
loop_
_atom_site_label
_atom_site_fract_x
_atom_site_fract_y
_atom_site_fract_z
_atom_site_occupancy
Y1 0.000 0.000 0.245 1
Si1 0.000 0.000 0.000 1
Si2 0.000 0.000 0.386 1
Ir1 0.000 0.000 0.112 1
Ir2 0.000 0.000 0.500 1
```

Most intense lines, 2θ from 10° to 90°, sorted by position:
index	2theta	intensity
0 0 3	13.18	63
0 0 5	22.05	32
1 0 0	31.81	100
1 0 5	39.05	31
1 1 0	45.61	37
1 0 8	48.51	48

---

6.
This entry pairs a crystal structure of Y3Si4Ir7 with its computed X-ray diffraction stick pattern. Radiation: Cu Kα, 1.54184 Å. Structure: the GGA-PBE geometry in Alexandria.
Neutral-atom scattering factors, no anomalous dispersion.

Cell and atoms:
```
data_Y3Si4Ir7
_space_group_name_H-M_alt 'C 1 2/m 1'
_space_group_IT_number 12
_cell_length_a 15.080
_cell_length_b 4.029
_cell_length_c 9.235
_cell_angle_alpha 90.00
_cell_angle_beta 124.52
_cell_angle_gamma 90.00
loop_
_space_group_symop_operation_xyz
'x,y,z'
'-x,-y,-z'
'-x,y,-z'
'x,-y,z'
'x+1/2,y+1/2,z'
'-x+1/2,-y+1/2,-z'
'-x+1/2,y+1/2,-z'
'x+1/2,-y+1/2,z'
loop_
_atom_site_label
_atom_site_fract_x
_atom_site_fract_y
_atom_site_fract_z
_atom_site_occupancy
Y1 0.000 0.000 0.000 1
Y2 0.174 0.500 0.671 1
Si1 0.114 0.000 0.834 1
Si2 0.168 0.500 0.280 1
Ir1 0.000 0.000 0.500 1
Ir2 0.005 0.500 0.276 1
Ir3 0.162 0.000 0.422 1
Ir4 0.194 0.500 0.044 1
```

Most intense lines, 2θ from 10° to 90°, sorted by position:
index	2theta	intensity
3 1 -2	30.59	37
1 1 2	36.06	100
5 1 -2	37.39	75
5 1 -3	40.25	35
6 0 0	43.71	36
0 2 0	45.00	47

---

7.
This entry pairs a crystal structure of Y3Si8Ir3 with its computed X-ray diffraction stick pattern. Radiation: Cu Kα, 1.54184 Å. Structure: the GGA-PBE geometry in Alexandria.
Neutral-atom scattering factors, no anomalous dispersion.

Cell and atoms:
```
data_Y3Si8Ir3
_space_group_name_H-M_alt 'C 1 2/m 1'
_space_group_IT_number 12
_cell_length_a 15.540
_cell_length_b 4.199
_cell_length_c 8.505
_cell_angle_alpha 90.00
_cell_angle_beta 120.36
_cell_angle_gamma 90.00
loop_
_space_group_symop_operation_xyz
'x,y,z'
'-x,-y,-z'
'-x,y,-z'
'x,-y,z'
'x+1/2,y+1/2,z'
'-x+1/2,-y+1/2,-z'
'-x+1/2,y+1/2,-z'
'x+1/2,-y+1/2,z'
loop_
_atom_site_label
_atom_site_fract_x
_atom_site_fract_y
_atom_site_fract_z
_atom_site_occupancy
Y1 0.000 0.000 0.000 1
Y2 0.212 0.500 0.674 1
Si1 0.018 0.500 0.697 1
Si2 0.117 0.000 0.394 1
Si3 0.133 0.500 0.270 1
Si4 0.167 0.000 0.888 1
Ir1 0.000 0.000 0.500 1
Ir2 0.154 0.500 0.011 1
```

Most intense lines, 2θ from 10° to 90°, sorted by position:
index	2theta	intensity
0 0 2	24.26	39
3 1 0	29.18	100
3 1 -2	30.90	71
6 0 -2	34.89	44
0 2 0	43.08	44
6 0 1	48.20	39

---

8.
This entry pairs a crystal structure of YSi7Ir3 with its computed X-ray diffraction stick pattern. Radiation: Cu Kα, 1.54184 Å. Structure: the GGA-PBE geometry in Alexandria.
Neutral-atom scattering factors, no anomalous dispersion.

Cell and atoms:
```
data_YSi7Ir3
_space_group_name_H-M_alt 'R -3 c'
_space_group_IT_number 167
_space_group_name_Hall '-R 3 2"c'
_cell_length_a 7.6235
_cell_length_b 7.6235
_cell_length_c 20.2377
_cell_angle_alpha 90.00
_cell_angle_beta 90.00
_cell_angle_gamma 120.00
loop_
_atom_site_label
_atom_site_fract_x
_atom_site_fract_y
_atom_site_fract_z
_atom_site_occupancy
Y1 0.0000 0.0000 0.0000 1
Si1 0.0000 0.0000 0.2500 1
Si2 0.0120 0.2017 0.1376 1
Ir1 0.0000 0.3204 0.2500 1
```

Most intense lines, 2θ from 10° to 90°, sorted by position:
index	2theta	intensity
1 1 3	26.87	100
1 1 6	35.54	28
3 0 0	41.01	33
1 1 9	46.91	35
0 3 6	49.45	25
2 2 3	49.71	28

---

Please write out number 8 again, unchanged.
This entry pairs a crystal structure of YSi7Ir3 with its computed X-ray diffraction stick pattern. Radiation: Cu Kα, 1.54184 Å. Structure: the GGA-PBE geometry in Alexandria.
Neutral-atom scattering factors, no anomalous dispersion.

Cell and atoms:
```
data_YSi7Ir3
_space_group_name_H-M_alt 'R -3 c'
_space_group_IT_number 167
_space_group_name_Hall '-R 3 2"c'
_cell_length_a 7.6235
_cell_length_b 7.6235
_cell_length_c 20.2377
_cell_angle_alpha 90.00
_cell_angle_beta 90.00
_cell_angle_gamma 120.00
loop_
_atom_site_label
_atom_site_fract_x
_atom_site_fract_y
_atom_site_fract_z
_atom_site_occupancy
Y1 0.0000 0.0000 0.0000 1
Si1 0.0000 0.0000 0.2500 1
Si2 0.0120 0.2017 0.1376 1
Ir1 0.0000 0.3204 0.2500 1
```

Most intense lines, 2θ from 10° to 90°, sorted by position:
index	2theta	intensity
1 1 3	26.87	100
1 1 6	35.54	28
3 0 0	41.01	33
1 1 9	46.91	35
0 3 6	49.45	25
2 2 3	49.71	28